1.
Computed X-ray powder pattern
Compound: Hg3AsClO4
Radiation: Cu Kα, 1.54184 Å
Structure: the PBE geometry in Alexandria
Lines closer than 0.1° are merged.

Most intense lines, 2θ = 15–90°, by intensity:
two_theta, intensity
34.40, 100
31.03, 95
17.77, 79
25.23, 70
32.76, 67
23.00, 61
20.55, 57
48.24, 53
43.14, 49
38.98, 39

Cell and atoms:
a = 8.646 Å, b = 8.646 Å, c = 8.646 Å
α = 90.00°, β = 90.00°, γ = 90.00°
Space group P2_13 (No. 198)
Asymmetric unit:
Hg1 0.052 0.398 0.353 (multiplicity 12)
As1 0.021 0.521 0.979 (multiplicity 4)
Cl1 0.226 0.774 0.274 (multiplicity 4)
O1 0.098 0.899 0.629 (multiplicity 12)
O2 0.135 0.635 0.865 (multiplicity 4)

***

2.
Computed X-ray powder pattern
Compound: Hg4AsSCl2
Radiation: Cu Kα, 1.54184 Å
Structure: the PBE geometry in Alexandria
Lines closer than 0.1° are merged.

Most intense lines, 2θ = 15–90°, by intensity:
two_theta, intensity
26.07, 100
26.48, 91
31.69, 89
31.87, 88
27.56, 88
42.49, 53
42.62, 53
53.61, 42
45.05, 35
54.53, 33

Cell and atoms:
a = 11.235 Å, b = 12.948 Å, c = 7.881 Å
α = 90.00°, β = 134.23°, γ = 90.00°
Space group C2/c (No. 15)
Asymmetric unit:
Hg1 0.001 0.216 0.019 (multiplicity 8)
Hg2 0.241 0.018 0.490 (multiplicity 8)
As1 0.000 0.000 0.000 (multiplicity 4)
S1 0.250 0.250 0.500 (multiplicity 4)
Cl1 0.000 0.500 0.000 (multiplicity 4)
Cl2 0.250 0.250 0.000 (multiplicity 4)

***

3.
Computed X-ray powder pattern
Compound: TlHg3As2Cl3
Radiation: Cu Kα, 1.54184 Å
Structure: the PBE geometry in Alexandria
Lines closer than 0.1° are merged.

Most intense lines, 2θ = 15–90°, by intensity:
two_theta, intensity
24.38, 100
28.18, 67
40.31, 44
28.31, 42
40.40, 27
47.80, 24
47.70, 23
47.59, 23
49.96, 22
64.15, 14

Cell and atoms:
a = 6.343 Å, b = 12.648 Å, c = 12.611 Å
α = 90.00°, β = 90.00°, γ = 90.00°
Space group Pbcm (No. 57)
Asymmetric unit:
Tl1 0.004 0.241 0.250 (multiplicity 4)
Hg1 0.000 0.000 0.000 (multiplicity 4)
Hg2 0.454 0.750 0.000 (multiplicity 4)
Hg3 0.457 0.520 0.750 (multiplicity 4)
As1 0.379 0.555 0.551 (multiplicity 8)
Cl1 0.097 0.012 0.750 (multiplicity 4)
Cl2 0.099 0.250 0.000 (multiplicity 4)
Cl3 0.482 0.205 0.250 (multiplicity 4)

***

4.
Computed X-ray powder pattern
Compound: As4I2Cl5
Radiation: Cu Kα, 1.54184 Å
Structure: the PBE geometry in Alexandria
Lines closer than 0.1° are merged.

Most intense lines, 2θ = 15–90°, by intensity:
two_theta, intensity
19.00, 100
26.11, 95
23.92, 87
30.97, 74
25.23, 71
30.42, 64
42.27, 64
18.82, 60
29.30, 60
24.20, 56

Cell and atoms:
a = 12.684 Å, b = 6.097 Å, c = 11.327 Å
α = 90.00°, β = 103.03°, γ = 90.00°
Space group C2/m (No. 12)
Asymmetric unit:
As1 0.035 0.000 0.287 (multiplicity 4)
As2 0.077 0.000 0.953 (multiplicity 4)
I1 0.120 0.500 0.929 (multiplicity 4)
Cl1 0.000 0.000 0.500 (multiplicity 2)
Cl2 0.154 0.259 0.301 (multiplicity 8)

***

5.
Computed X-ray powder pattern
Compound: As4I5Cl2
Radiation: Cu Kα, 1.54184 Å
Structure: the PBE geometry in Alexandria
Lines closer than 0.1° are merged.

Most intense lines, 2θ = 15–90°, by intensity:
two_theta, intensity
29.07, 100
34.46, 43
18.68, 32
25.69, 32
43.48, 29
15.70, 18
41.10, 17
23.50, 16
43.20, 15
39.90, 14

Cell and atoms:
a = 17.572 Å, b = 9.037 Å, c = 7.275 Å
α = 90.00°, β = 107.61°, γ = 90.00°
Space group C2/m (No. 12)
Asymmetric unit:
As1 0.173 0.000 0.149 (multiplicity 4)
As2 0.233 0.000 0.499 (multiplicity 4)
I1 0.000 0.500 0.500 (multiplicity 2)
I2 0.125 0.220 0.459 (multiplicity 8)
Cl1 0.224 0.500 0.966 (multiplicity 4)